The following is a computed powder diffractogram of CsGdNiS3. It was derived from a structure optimized by DFT (GGA-PBE), using Cu Kα X-rays.

Cell and atoms:
```
data_CsGdNiS3
_cell_length_a 11.6593
_cell_length_b 4.1804
_cell_length_c 12.2280
_cell_angle_alpha 90.00
_cell_angle_beta 90.00
_cell_angle_gamma 90.00
_space_group_name_H-M_alt 'P n m a'
_space_group_IT_number 62
loop_
_space_group_symop_operation_xyz
'x,y,z'
'-x,-y,-z'
'-x+1/2,-y,z+1/2'
'x+1/2,y,-z+1/2'
'x+1/2,-y+1/2,-z+1/2'
'-x+1/2,y+1/2,z+1/2'
'-x,y+1/2,-z'
'x,-y+1/2,z'
loop_
_atom_site_label
_atom_site_type_symbol
_atom_site_fract_x
_atom_site_fract_y
_atom_site_fract_z
Cs1 Cs 0.1552 0.2500 0.0210
Gd1 Gd 0.0013 0.7500 0.3492
Ni1 Ni 0.2399 0.2500 0.3071
S1 S 0.0708 0.7500 0.7837
S2 S 0.1180 0.2500 0.4537
S3 S 0.2143 0.7500 0.2484
```

Peak list (8 most intense, 2θ = 10–80°, sorted by position)
23.12 deg, rel. 94; 24.03 deg, rel. 92; 26.94 deg, rel. 100; 27.24 deg, rel. 73; 30.09 deg, rel. 91; 31.60 deg, rel. 66; 34.08 deg, rel. 55; 43.29 deg, rel. 53